Entry 1:
This entry pairs a crystal structure of Ba2YI7 with its calculated powder diffraction line list. Radiation: a wavelength of 1.5418 Å. Structure: a cell relaxed with GGA-PBE.

Crystal structure
```
data_Ba2YI7
_space_group_name_H-M_alt 'P 1 21/c 1'
_space_group_IT_number 14
_cell_length_a 9.454
_cell_length_b 15.266
_cell_length_c 17.733
_cell_angle_alpha 90.00
_cell_angle_beta 120.79
_cell_angle_gamma 90.00
loop_
_space_group_symop_operation_xyz
'x,y,z'
'-x,-y,-z'
'-x,y+1/2,-z+1/2'
'x,-y+1/2,z+1/2'
loop_
_atom_site_label
_atom_site_type_symbol
_atom_site_fract_x
_atom_site_fract_y
_atom_site_fract_z
Ba1 Ba 0.061 0.207 0.248
Ba2 Ba 0.349 0.731 0.544
Y1 Y 0.436 0.195 0.165
I1 I 0.071 0.128 0.068
I2 I 0.153 0.622 0.888
I3 I 0.221 0.737 0.693
I4 I 0.318 0.218 0.486
I5 I 0.342 0.587 0.381
I6 I 0.344 0.150 0.740
I7 I 0.443 0.088 0.311
```

Main lines, by angle (2θ = 15–90°):
d_spacing	I (rel.)	(hkl)
4.231	36	0 3 2
3.890	49	1 2 2
3.841	23	1 3 -3
3.463	27	2 3 -2
3.409	33	0 2 4
3.183	100	2 2 1
3.070	28	3 0 -4
2.916	52	1 4 2
2.877	32	2 1 -6
2.869	28	1 1 4

Entry 2:
This entry pairs a crystal structure of Ba2YI7 with its calculated powder diffraction line list. Radiation: a wavelength of 1.5418 Å. Structure: a cell relaxed with GGA-PBE.

Crystal structure
```
data_Ba2YI7
_space_group_name_H-M_alt 'P 1 21/c 1'
_space_group_IT_number 14
_cell_length_a 7.895
_cell_length_b 17.868
_cell_length_c 12.128
_cell_angle_alpha 90.00
_cell_angle_beta 90.57
_cell_angle_gamma 90.00
loop_
_space_group_symop_operation_xyz
'x,y,z'
'-x,-y,-z'
'-x,y+1/2,-z+1/2'
'x,-y+1/2,z+1/2'
loop_
_atom_site_label
_atom_site_type_symbol
_atom_site_fract_x
_atom_site_fract_y
_atom_site_fract_z
Ba1 Ba 0.230 0.060 0.324
Ba2 Ba 0.231 0.721 0.452
Y1 Y 0.284 0.128 0.781
I1 I 0.007 0.241 0.301
I2 I 0.010 0.105 0.583
I3 I 0.201 0.541 0.286
I4 I 0.204 0.140 0.029
I5 I 0.368 0.570 0.621
I6 I 0.498 0.603 0.932
I7 I 0.500 0.225 0.293
```

Main lines, by angle (2θ = 15–90°):
d_spacing	I (rel.)	(hkl)
3.683	61	2 1 -1
3.601	49	0 4 2
3.169	32	2 3 1
3.115	33	2 2 -2
3.090	76	2 2 2
2.991	100	0 1 4
2.892	45	0 6 1
2.881	87	2 3 2
2.716	33	1 6 -1
2.706	45	2 2 -3

Entry 3:
This entry pairs a crystal structure of Ba2YI7 with its calculated powder diffraction line list. Radiation: a wavelength of 1.5418 Å. Structure: a cell relaxed with GGA-PBE.

Crystal structure
```
data_Ba2YI7
_space_group_name_H-M_alt 'P 1 21/c 1'
_space_group_IT_number 14
_cell_length_a 8.387
_cell_length_b 18.834
_cell_length_c 15.630
_cell_angle_alpha 90.00
_cell_angle_beta 119.15
_cell_angle_gamma 90.00
loop_
_space_group_symop_operation_xyz
'x,y,z'
'-x,-y,-z'
'-x,y+1/2,-z+1/2'
'x,-y+1/2,z+1/2'
loop_
_atom_site_label
_atom_site_type_symbol
_atom_site_fract_x
_atom_site_fract_y
_atom_site_fract_z
Ba1 Ba 0.009 0.026 0.187
Ba2 Ba 0.211 0.730 0.968
Y1 Y 0.418 0.159 0.149
I1 I 0.033 0.116 0.979
I2 I 0.069 0.567 0.881
I3 I 0.194 0.210 0.243
I4 I 0.207 0.689 0.184
I5 I 0.404 0.199 0.559
I6 I 0.415 0.604 0.475
I7 I 0.449 0.015 0.238
```

Main lines, by angle (2θ = 15–90°):
d_spacing	I (rel.)	(hkl)
4.099	35	0 2 3
3.876	43	0 4 2
3.734	41	2 2 -1
3.632	54	0 5 1
3.427	59	2 1 -4
3.413	100	2 2 0
3.313	57	1 5 -2
3.266	48	2 2 -4
3.054	40	1 2 3
2.038	40	2 8 -1